[1]
MgMn3Cu3O8: computed powder XRD pattern (Cu Kα X-rays), based on a DFT-relaxed cell (GGA+U, the Materials Project).

Most intense lines, 10 to 90 degrees two-theta, low angle first:
| (hkl) | 2θ (°) | intensity |
| --- | --- | --- |
| 0 0 3 | 12.9 | 100 |
| 0 1 2 | 18.8 | 23 |
| 1 1 0 | 29.1 | 23 |
| 0 2 1 | 34.0 | 16 |
| 2 0 2 | 34.8 | 23 |
| 0 2 4 | 38.1 | 20 |
| 0 1 8 | 38.8 | 30 |
| 1 1 6 | 39.3 | 32 |
| 1 2 8 | 58.1 | 18 |
| 2 2 0 | 60.3 | 29 |

Cell and atoms:
Cell lengths 6.1431, 6.1431, 20.6609 Å; angles 90.00, 90.00, 120.00 degrees
Space group R3m (No. 160, hexagonal axes)
Unique sites:
Mg1 0.0000 0.0000 0.0000
Mn1 0.0012 0.5006 0.5553
Cu1 0.0000 0.0000 0.1196
Cu2 0.0000 0.0000 0.4833
Cu3 0.0000 0.0000 0.6245
O1 0.0000 0.0000 0.2624
O2 0.0000 0.0000 0.8477
O3 0.0128 0.5064 0.8277
O4 0.1773 0.3546 0.6164

***

[2]
MgMn4CuO8: computed powder XRD pattern (Cu Kα X-rays), based on a DFT-relaxed cell (GGA+U, the Materials Project).

Most intense lines, 10 to 90 degrees two-theta, low angle first:
| (hkl) | 2θ (°) | intensity |
| --- | --- | --- |
| 2 0 -1 | 16.9 | 100 |
| 0 0 2 | 32.7 | 29 |
| 4 0 -2 | 34.1 | 16 |
| 0 2 1 | 35.2 | 36 |
| 2 0 1 | 35.7 | 33 |
| 2 2 -2 | 39.8 | 43 |
| 4 0 0 | 45.9 | 24 |
| 4 2 -1 | 48.8 | 24 |
| 4 2 -3 | 50.8 | 46 |
| 0 2 3 | 59.9 | 28 |

Cell and atoms:
Cell lengths 10.549, 5.769, 7.309 Å; angles 90.00, 131.42, 90.00 degrees
Space group Cm (No. 8)
Unique sites:
Mg1 0.000 0.000 0.000
Mn1 0.190 0.250 0.815
Mn2 0.217 0.500 0.339
Mn3 0.435 0.000 0.313
Cu1 0.477 0.500 0.345
O1 0.004 0.263 0.188
O2 0.173 0.000 0.981
O3 0.208 0.500 0.013
O4 0.211 0.000 0.663
O5 0.249 0.500 0.694
O6 0.420 0.251 0.474

***

[3]
MgMn4Cu2O8: computed powder XRD pattern (Cu Kα X-rays), based on a DFT-relaxed cell (GGA+U, the Materials Project).

Most intense lines, 10 to 90 degrees two-theta, low angle first:
| (hkl) | 2θ (°) | intensity |
| --- | --- | --- |
| 3 1 -1 | 30.4 | 38 |
| 3 1 -2 | 32.2 | 72 |
| 0 2 1 | 33.3 | 66 |
| 0 0 2 | 33.5 | 62 |
| 2 2 -1 | 33.8 | 61 |
| 3 1 0 | 37.3 | 53 |
| 2 2 -2 | 38.8 | 100 |
| 4 0 0 | 46.4 | 47 |
| 2 2 -3 | 49.9 | 56 |
| 6 2 -2 | 63.3 | 49 |

Cell and atoms:
Cell lengths 10.185, 6.232, 6.952 Å; angles 90.00, 129.72, 90.00 degrees
Space group C2/m (No. 12)
Unique sites:
Mg1 0.000 0.000 0.000
Mn1 0.180 0.000 0.480
Mn2 0.250 0.250 0.000
Cu1 0.000 0.500 0.000
Cu2 0.000 0.500 0.500
O1 0.002 0.237 0.222
O2 0.240 0.500 0.743
O3 0.242 0.500 0.171

***

[4]
MgMn4Cu2O8: computed powder XRD pattern (Cu Kα X-rays), based on a DFT-relaxed cell (GGA+U, the Materials Project).

Most intense lines, 10 to 90 degrees two-theta, low angle first:
| (hkl) | 2θ (°) | intensity |
| --- | --- | --- |
| 1 1 2 | 27.0 | 22 |
| 0 1 3 | 28.6 | 30 |
| 1 0 3 | 29.0 | 100 |
| 0 0 4 | 32.7 | 28 |
| 1 2 1 | 34.7 | 82 |
| 2 1 1 | 35.6 | 43 |
| 2 2 0 | 43.6 | 23 |
| 0 2 4 | 44.8 | 25 |
| 2 2 4 | 55.6 | 63 |
| 3 2 1 | 57.7 | 21 |

Cell and atoms:
Cell lengths 5.741, 6.007, 10.941 Å; angles 90.00, 90.00, 90.00 degrees
Space group Imm2 (No. 44)
Unique sites:
Mg1 0.000 0.000 0.000
Mn1 0.000 0.000 0.759
Mn2 0.000 0.500 0.030
Mn3 0.247 0.500 0.706
Cu1 0.000 0.254 0.408
O1 0.000 0.211 0.143
O2 0.000 0.291 0.677
O3 0.228 0.000 0.403
O4 0.234 0.500 0.392

***

[5]
MgMn3Cu3O8: computed powder XRD pattern (Cu Kα X-rays), based on a DFT-relaxed cell (GGA+U, the Materials Project).

Most intense lines, 10 to 90 degrees two-theta, low angle first:
| (hkl) | 2θ (°) | intensity |
| --- | --- | --- |
| 2 0 -1 | 17.3 | 32 |
| 1 1 -1 | 19.9 | 28 |
| 0 2 0 | 29.8 | 29 |
| 3 1 -2 | 32.9 | 56 |
| 0 0 2 | 33.3 | 57 |
| 0 2 1 | 34.2 | 48 |
| 4 0 -1 | 35.0 | 81 |
| 2 2 -2 | 40.4 | 100 |
| 4 0 0 | 42.5 | 35 |
| 2 2 2 | 59.0 | 39 |

Cell and atoms:
Cell lengths 10.560, 6.003, 6.681 Å; angles 90.00, 126.27, 90.00 degrees
Space group C2 (No. 5)
Unique sites:
Mg1 0.000 0.000 0.000
Mn1 0.000 0.552 0.500
Mn2 0.249 0.759 0.998
Cu1 0.000 0.513 0.000
Cu2 0.115 0.091 0.484
O1 0.018 0.260 0.801
O2 0.019 0.759 0.790
O3 0.238 0.509 0.193
O4 0.248 0.508 0.804

***

[6]
MgMn4CuO8: computed powder XRD pattern (Cu Kα X-rays), based on a DFT-relaxed cell (GGA+U, the Materials Project).

Most intense lines, 10 to 90 degrees two-theta, low angle first:
| (hkl) | 2θ (°) | intensity |
| --- | --- | --- |
| 0 1 0 | 17.8 | 100 |
| 1 0 -1 | 18.0 | 41 |
| 0 2 0 | 36.0 | 25 |
| 2 0 -2 | 36.4 | 63 |
| 0 0 2 | 40.4 | 67 |
| 2 -2 0 | 41.4 | 63 |
| 2 2 -2 | 44.7 | 51 |
| -2 2 2 | 59.0 | 19 |
| 0 4 -2 | 62.2 | 19 |
| 4 0 -2 | 62.9 | 19 |

Cell and atoms:
Cell lengths 5.928, 5.984, 6.005 Å; angles 116.98, 117.17, 94.23 degrees
Space group P-1 (No. 2)
Unique sites:
Mg1 0.000 0.000 0.000
Mn1 0.000 0.500 0.000
Mn2 0.000 0.500 0.500
Mn3 0.500 0.000 0.500
Mn4 0.500 0.500 0.000
Cu1 0.500 0.500 0.500
O1 0.215 0.703 0.435
O2 0.236 0.294 0.010
O3 0.236 0.755 0.015
O4 0.257 0.282 0.518

***

[7]
MgMnCuO2: computed powder XRD pattern (Cu Kα X-rays), based on a DFT-relaxed cell (GGA+U, the Materials Project).

Most intense lines, 10 to 90 degrees two-theta, low angle first:
| (hkl) | 2θ (°) | intensity |
| --- | --- | --- |
| 0 0 1 | 11.4 | 25 |
| 2 0 0 | 31.8 | 31 |
| 0 0 3 | 34.7 | 46 |
| 1 1 -1 | 34.8 | 100 |
| 2 0 1 | 35.5 | 37 |
| 2 0 -2 | 36.6 | 29 |
| 1 1 2 | 42.4 | 57 |
| 1 1 -3 | 47.3 | 17 |
| 1 1 -4 | 56.8 | 19 |
| 3 1 0 | 57.8 | 20 |

Cell and atoms:
Cell lengths 5.689, 3.025, 7.839 Å; angles 90.00, 98.29, 90.00 degrees
Space group Cm (No. 8)
Unique sites:
Mg1 0.000 0.000 0.000
Mn1 0.250 0.500 0.655
Cu1 0.378 0.000 0.290
O1 0.295 0.000 0.884
O2 0.407 0.000 0.536

***

[8]
MgMn4Cu2O8: computed powder XRD pattern (Cu Kα X-rays), based on a DFT-relaxed cell (GGA+U, the Materials Project).

Most intense lines, 10 to 90 degrees two-theta, low angle first:
| (hkl) | 2θ (°) | intensity |
| --- | --- | --- |
| 0 0 1 | 16.7 | 37 |
| 2 0 0 | 17.7 | 25 |
| 2 0 1 | 30.2 | 25 |
| 4 0 -1 | 30.4 | 31 |
| 1 1 -2 | 33.6 | 100 |
| 2 2 -1 | 34.3 | 36 |
| 2 2 0 | 34.7 | 39 |
| 4 0 0 | 35.7 | 79 |
| 1 3 -2 | 55.2 | 36 |
| 0 4 0 | 61.6 | 27 |

Cell and atoms:
Cell lengths 11.798, 6.026, 6.225 Å; angles 90.00, 121.59, 90.00 degrees
Space group Cm (No. 8)
Unique sites:
Mg1 0.000 0.000 0.000
Mn1 0.224 0.000 0.479
Mn2 0.228 0.000 0.973
Mn3 0.459 0.249 0.460
Cu1 0.161 0.500 0.173
Cu2 0.218 0.500 0.708
O1 0.173 0.199 0.176
O2 0.199 0.207 0.696
O3 0.434 0.000 0.635
O4 0.437 0.000 0.234
O5 0.454 0.500 0.252
O6 0.454 0.500 0.657

***

[9]
MgMn4Cu2O8: computed powder XRD pattern (Cu Kα X-rays), based on a DFT-relaxed cell (GGA+U, the Materials Project).

Most intense lines, 10 to 90 degrees two-theta, low angle first:
| (hkl) | 2θ (°) | intensity |
| --- | --- | --- |
| 1 1 0 | 18.2 | 42 |
| 2 0 0 | 20.4 | 35 |
| 0 0 2 | 33.8 | 59 |
| 4 0 -2 | 34.1 | 53 |
| 0 2 1 | 35.0 | 100 |
| 2 2 -2 | 41.0 | 57 |
| 4 0 0 | 41.5 | 67 |
| 2 2 1 | 46.0 | 35 |
| 4 2 -1 | 46.2 | 44 |
| 4 2 -3 | 52.9 | 40 |

Cell and atoms:
Cell lengths 10.901, 5.865, 6.649 Å; angles 90.00, 127.08, 90.00 degrees
Space group C2/m (No. 12)
Unique sites:
Mg1 0.000 0.000 0.000
Mn1 0.000 0.500 0.000
Mn2 0.000 0.500 0.500
Mn3 0.223 0.000 0.950
Cu1 0.250 0.250 0.500
O1 0.057 0.263 0.843
O2 0.218 0.500 0.286
O3 0.249 0.500 0.705

***

[10]
MgMn4Cu2O8: computed powder XRD pattern (Cu Kα X-rays), based on a DFT-relaxed cell (GGA+U, the Materials Project).

Most intense lines, 10 to 90 degrees two-theta, low angle first:
| (hkl) | 2θ (°) | intensity |
| --- | --- | --- |
| 1 0 1 | 18.0 | 46 |
| 0 2 0 | 27.1 | 44 |
| 1 2 1 | 32.7 | 92 |
| 2 1 1 | 34.2 | 100 |
| 0 2 2 | 34.5 | 99 |
| 1 0 3 | 35.0 | 50 |
| 2 2 0 | 40.5 | 42 |
| 2 1 3 | 46.0 | 91 |
| 2 3 1 | 52.6 | 72 |
| 0 4 0 | 55.9 | 52 |

Cell and atoms:
Cell lengths 6.067, 6.577, 8.479 Å; angles 90.00, 90.00, 90.00 degrees
Space group Imm2 (No. 44)
Unique sites:
Mg1 0.000 0.000 0.000
Mn1 0.000 0.000 0.675
Mn2 0.000 0.262 0.412
Mn3 0.000 0.500 0.107
Cu1 0.220 0.500 0.724
O1 0.000 0.199 0.184
O2 0.000 0.301 0.644
O3 0.218 0.000 0.467
O4 0.239 0.500 0.361

***

[11]
MgMn4CuO8: computed powder XRD pattern (Cu Kα X-rays), based on a DFT-relaxed cell (GGA+U, the Materials Project).

Most intense lines, 10 to 90 degrees two-theta, low angle first:
| (hkl) | 2θ (°) | intensity |
| --- | --- | --- |
| 0 0 1 | 17.9 | 67 |
| 3 1 0 | 33.0 | 49 |
| 2 2 -1 | 35.5 | 100 |
| 3 1 -2 | 35.6 | 38 |
| 4 0 0 | 39.3 | 35 |
| 2 2 -2 | 43.5 | 49 |
| 3 3 -2 | 57.3 | 36 |
| 2 2 2 | 59.9 | 41 |
| 6 2 -2 | 60.2 | 40 |
| 0 4 0 | 63.2 | 34 |

Cell and atoms:
Cell lengths 10.855, 5.889, 5.883 Å; angles 90.00, 122.37, 90.00 degrees
Space group Cm (No. 8)
Unique sites:
Mg1 0.000 0.000 0.000
Mn1 0.121 0.500 0.876
Mn2 0.241 0.000 0.747
Mn3 0.371 0.252 0.373
Cu1 0.120 0.500 0.371
O1 0.110 0.275 0.618
O2 0.132 0.271 0.127
O3 0.367 0.500 0.594
O4 0.370 0.500 0.146
O5 0.373 0.000 0.597
O6 0.379 0.000 0.156

***

[12]
MgMnCuO2: computed powder XRD pattern (Cu Kα X-rays), based on a DFT-relaxed cell (GGA+U, the Materials Project).

Most intense lines, 10 to 90 degrees two-theta, low angle first:
| (hkl) | 2θ (°) | intensity |
| --- | --- | --- |
| 0 0 1 | 11.6 | 33 |
| 2 0 0 | 32.7 | 44 |
| 1 1 0 | 33.3 | 31 |
| 1 1 -1 | 34.3 | 75 |
| 0 0 3 | 35.2 | 61 |
| 2 0 -2 | 36.5 | 100 |
| 2 0 1 | 37.0 | 41 |
| 1 1 -2 | 39.1 | 61 |
| 1 1 -3 | 46.7 | 37 |
| 3 1 -1 | 57.9 | 46 |

Cell and atoms:
Cell lengths 5.580, 3.084, 7.794 Å; angles 90.00, 101.15, 90.00 degrees
Space group Cm (No. 8)
Unique sites:
Mg1 0.000 0.000 0.000
Mn1 0.203 0.000 0.663
Cu1 0.262 0.500 0.293
O1 0.141 0.500 0.879
O2 0.343 0.500 0.544

***

[13]
MgMn3Cu3O8: computed powder XRD pattern (Cu Kα X-rays), based on a DFT-relaxed cell (GGA+U, the Materials Project).

Most intense lines, 10 to 90 degrees two-theta, low angle first:
| (hkl) | 2θ (°) | intensity |
| --- | --- | --- |
| 1 1 0 | 29.8 | 43 |
| 0 0 6 | 33.6 | 24 |
| 1 1 3 | 34.3 | 100 |
| 0 2 1 | 35.0 | 33 |
| 0 2 4 | 41.5 | 41 |
| 1 1 6 | 45.5 | 22 |
| 0 2 7 | 53.4 | 25 |
| 0 3 3 | 55.9 | 23 |
| 2 0 8 | 58.2 | 25 |
| 2 2 0 | 62.0 | 39 |

Cell and atoms:
Cell lengths 5.9899, 5.9899, 16.0083 Å; angles 90.00, 90.00, 120.00 degrees
Space group R-3m (No. 166, hexagonal axes)
Unique sites:
Mg1 0.0000 0.0000 0.0000
Mn1 0.0000 0.5000 0.0000
Cu1 0.0000 0.0000 0.1531
Cu2 0.0000 0.0000 0.5000
O1 0.0000 0.0000 0.2688
O2 0.0071 0.5036 0.2630